Record 1
Simulated XRD peak list of MgCu2I4O12 for a wavelength of 1.5418 Å, from a cell relaxed with GGA-PBE.
Neutral-atom scattering factors, no anomalous dispersion.

Structural model:
```
data_MgCu2I4O12
_chemical_formula_sum 'Mg1 Cu2 I4 O12'
_cell_length_a 5.6530
_cell_length_b 6.2570
_cell_length_c 9.4967
_cell_angle_alpha 93.06
_cell_angle_beta 96.65
_cell_angle_gamma 93.65
_space_group_name_H-M_alt 'P 1'
_space_group_IT_number 1
loop_
_space_group_symop_operation_xyz
'x,y,z'
loop_
_atom_site_label
_atom_site_type_symbol
_atom_site_fract_x
_atom_site_fract_y
_atom_site_fract_z
_atom_site_occupancy
Mg1 Mg 0.0000 0.0000 0.0000 1
Cu1 Cu 0.1573 0.4789 0.6371 1
Cu2 Cu 0.5437 0.9728 0.1931 1
I1 I 0.0899 0.0758 0.3512 1
I2 I 0.1168 0.5499 0.9950 1
I3 I 0.4774 0.0398 0.7839 1
I4 I 0.6349 0.5852 0.4722 1
O1 O 0.2520 0.7897 0.1219 1
O2 O 0.2666 0.5990 0.8367 1
O3 O 0.2882 0.1295 0.9198 1
O4 O 0.3461 0.2104 0.2780 1
O5 O 0.3781 0.7167 0.5320 1
O6 O 0.3987 0.2327 0.6501 1
O7 O 0.7247 0.7787 0.3430 1
O8 O 0.7691 0.1570 0.8703 1
O9 O 0.8489 0.6983 0.9528 1
O10 O 0.8625 0.6603 0.6233 1
O11 O 0.8768 0.1012 0.1827 1
O12 O 0.9889 0.2989 0.4580 1
```

Largest 10 diffraction maxima, by intensity, 10° ≤ 2θ ≤ 90°:
hkl 0 1 -2, 22.93 deg, I 100; hkl 0 2 0, 28.67 deg, I 55; hkl -1 1 1, 22.21 deg, I 49; hkl 1 0 -3, 30.96 deg, I 43; hkl 0 1 2, 24.38 deg, I 41; hkl 1 -1 1, 23.07 deg, I 27; hkl 1 0 3, 34.40 deg, I 24; hkl 1 0 1, 19.39 deg, I 22; hkl 1 1 1, 25.12 deg, I 18; hkl -1 3 1, 46.73 deg, I 15

---

Record 2
Simulated XRD peak list of Sr2MgCuI2O2 for a wavelength of 1.5418 Å, from a cell relaxed with GGA-PBE.
Neutral-atom scattering factors, no anomalous dispersion.

Structural model:
```
data_Sr2MgCuI2O2
_chemical_formula_sum 'Sr4 Mg2 Cu2 I4 O4'
_cell_length_a 4.0490
_cell_length_b 4.0490
_cell_length_c 26.8460
_cell_angle_alpha 90.00
_cell_angle_beta 90.00
_cell_angle_gamma 90.00
_space_group_name_H-M_alt 'I 4 m m'
_space_group_IT_number 107
_space_group_name_Hall 'I 4 -2'
loop_
_atom_site_label
_atom_site_type_symbol
_atom_site_fract_x
_atom_site_fract_y
_atom_site_fract_z
_atom_site_occupancy
Sr1 Sr 0.0000 0.0000 0.0000 1
Sr2 Sr 0.0000 0.0000 0.1214 1
Mg1 Mg 0.0000 0.0000 0.8193 1
Cu1 Cu 0.0000 0.0000 0.5609 1
I1 I 0.0000 0.0000 0.4293 1
I2 I 0.0000 0.0000 0.6926 1
O1 O 0.0000 0.5000 0.0610 1
```

Largest 10 diffraction maxima, by intensity, 10° ≤ 2θ ≤ 90°:
hkl 1 0 7, 32.15 deg, I 100; hkl 1 1 0, 31.24 deg, I 61; hkl 2 1 7, 56.17 deg, I 43; hkl 1 0 3, 24.13 deg, I 40; hkl 1 0 9, 37.45 deg, I 34; hkl 2 0 0, 44.77 deg, I 29; hkl 2 1 9, 59.74 deg, I 17; hkl 1 1 4, 34.04 deg, I 13; hkl 0 0 4, 13.19 deg, I 12; hkl 1 1 16, 64.36 deg, I 12